For Cu6NiO6, the GGA+U geometry in Alexandria gives the theoretical X-ray diffraction stick pattern in this record (Cu Kα (weighted mean of Kα1 and Kα2)).

Structural model:
```
data_Cu6NiO6
_cell_length_a 8.161
_cell_length_b 8.161
_cell_length_c 8.161
_cell_angle_alpha 90.00
_cell_angle_beta 90.00
_cell_angle_gamma 90.00
_space_group_name_H-M_alt 'F m -3 m'
_space_group_IT_number 225
_space_group_name_Hall '-F 4 2 3'
loop_
_atom_site_label
_atom_site_fract_x
_atom_site_fract_y
_atom_site_fract_z
_atom_site_occupancy
Cu1 0.000 0.250 0.250 1
Ni1 0.000 0.000 0.000 1
O1 0.000 0.000 0.245 1
```

Main lines, in order of rising 2θ (2θ from 10° to 90°):
| two_theta | I_rel |
| --- | --- |
| 18.83 | 18 |
| 30.99 | 20 |
| 38.20 | 93 |
| 44.40 | 100 |
| 64.60 | 57 |
| 77.60 | 34 |